Starting from a crystal structure in Alexandria, relaxed with GGA-PBE, the X-ray powder pattern of Al2TlFe was calculated for Cu Kα.
Intensities are scaled so that the largest is 100.

```
12
Lattice="3.064 0.000 0.000 -1.532 2.654 0.000 0.000 0.000 26.179" Properties=species:S:1:pos:R:3 pbc="T T T"
Al 0.000 0.000 6.086
Al 0.000 0.000 20.093
Al 0.000 1.769 11.367
Al 0.000 1.769 23.538
Al 1.532 0.885 2.641
Al 1.532 0.885 14.812
Tl 0.000 0.000 0.000
Tl 0.000 1.769 17.453
Tl 1.532 0.885 8.726
Fe 0.000 0.000 13.089
Fe 0.000 1.769 4.363
Fe 1.532 0.885 21.816
```

Principal peaks in the range 10° ≤ 2θ ≤ 90°, by angle:
| Position (°2θ) | I (rel.) | h k l |
| --- | --- | --- |
| 10.14 | 95 | 0 0 3 |
| 20.35 | 71 | 0 0 6 |
| 33.95 | 27 | 1 0 1 |
| 34.48 | 52 | 0 1 2 |
| 36.54 | 100 | 1 0 4 |
| 43.93 | 54 | 0 1 8 |